Record 1
Structure and computed powder diffraction line list of BaLaTaMnO6 (a cell relaxed with PBE+U; Cu Kα, 1.54184 Å).

Cell and atoms:
abc: 5.836 5.836 5.836
angles: 60.00 60.00 60.00
Element x y z (fractional)
Ba 0.000 0.000 0.000
La 0.500 0.500 0.500
Ta 0.250 0.250 0.250
Mn 0.750 0.750 0.750
O 0.009 0.009 0.491
O 0.009 0.491 0.009
O 0.009 0.491 0.491
O 0.491 0.009 0.009
O 0.491 0.009 0.491
O 0.491 0.491 0.009

Most intense lines, 10 to 90 degrees two-theta, low angle first:
Position (°2θ), d/Å, Rel. int.
18.62, 4.765, 161
30.64, 2.918, 1000
36.09, 2.488, 85
43.88, 2.063, 299
48.05, 1.893, 36
54.47, 1.685, 400
63.79, 1.459, 184
72.42, 1.305, 174
80.65, 1.191, 61
88.69, 1.103, 214

=====

Record 2
Structure and computed powder diffraction line list of NaMgNiO2 (a cell relaxed with PBE+U; Cu Kα, 1.54184 Å).

Cell and atoms:
abc: 5.418 4.841 5.916
angles: 90.00 92.68 90.00
Element x y z (fractional)
Na 0.000 0.000 0.000
Na 0.500 0.500 0.000
Mg 0.000 0.000 0.500
Mg 0.500 0.500 0.500
Ni 0.000 0.500 0.500
Ni 0.500 0.000 0.500
O 0.221 0.500 0.280
O 0.279 0.000 0.720
O 0.721 0.000 0.280
O 0.779 0.500 0.720

Most intense lines, 10 to 90 degrees two-theta, low angle first:
Position (°2θ), d/Å, Rel. int.
14.99, 5.909, 1000
29.40, 3.038, 693
30.25, 2.955, 230
33.10, 2.706, 182
37.15, 2.420, 510
40.26, 2.240, 156
44.32, 2.044, 212
46.56, 1.951, 203
59.17, 1.562, 163
61.00, 1.519, 163

=====

Record 3
Structure and computed powder diffraction line list of Li5Co3O8 (a cell relaxed with PBE+U; Cu Kα, 1.54184 Å).

Cell and atoms:
abc: 5.934 2.936 8.079
angles: 90.00 90.83 90.00
Element x y z (fractional)
Li 0.000 0.000 0.000
Li 0.000 0.000 0.500
Li 0.242 0.500 0.259
Li 0.500 0.000 0.500
Li 0.758 0.500 0.741
Co 0.243 0.500 0.736
Co 0.500 0.000 0.000
Co 0.757 0.500 0.264
O 0.018 0.000 0.752
O 0.251 0.500 0.523
O 0.265 0.500 0.979
O 0.489 0.000 0.755
O 0.511 0.000 0.245
O 0.735 0.500 0.021
O 0.749 0.500 0.477
O 0.982 0.000 0.248

Most intense lines, 10 to 90 degrees two-theta, low angle first:
Position (°2θ), d/Å, Rel. int.
10.95, 8.078, 189
14.93, 5.934, 132
18.42, 4.815, 1000
18.68, 4.749, 125
35.96, 2.498, 289
43.36, 2.087, 642
44.89, 2.019, 270
63.81, 1.459, 153
64.54, 1.444, 148
80.96, 1.187, 102

=====

Record 4
Structure and computed powder diffraction line list of Li2Fe3O3F5 (a cell relaxed with PBE+U; Cu Kα, 1.54184 Å).

Cell and atoms:
abc: 5.999 5.999 6.105
angles: 120.40 120.40 59.39
Element x y z (fractional)
Li 0.242 0.758 0.000
Li 0.758 0.242 0.000
Fe 0.373 0.373 0.400
Fe 0.740 0.740 0.002
Fe 0.760 0.760 0.503
O 0.511 0.511 0.771
O 0.517 0.976 0.257
O 0.976 0.517 0.257
F 0.505 0.505 0.261
F 0.535 0.972 0.751
F 0.970 0.970 0.194
F 0.972 0.535 0.751
F 0.984 0.984 0.764

Most intense lines, 10 to 90 degrees two-theta, low angle first:
Position (°2θ), d/Å, Rel. int.
18.24, 4.865, 1000
20.86, 4.259, 263
20.98, 4.235, 534
30.07, 2.972, 400
34.69, 2.586, 886
35.20, 2.550, 561
42.45, 2.129, 424
56.45, 1.630, 478
61.69, 1.504, 260
61.88, 1.499, 252

=====

Record 5
Structure and computed powder diffraction line list of AgMo3P2O14 (a cell relaxed with PBE+U; Cu Kα, 1.54184 Å).

Cell and atoms:
abc: 8.340 6.508 10.712
angles: 90.00 109.40 90.00
Element x y z (fractional)
Ag 0.032 0.250 0.279
Ag 0.968 0.750 0.721
Mo 0.242 0.250 0.679
Mo 0.261 0.250 0.002
Mo 0.332 0.750 0.380
Mo 0.668 0.250 0.620
Mo 0.739 0.750 0.998
Mo 0.758 0.750 0.321
P 0.347 0.750 0.065
P 0.376 0.750 0.701
P 0.624 0.250 0.299
P 0.653 0.250 0.935
O 0.071 0.250 0.536
O 0.106 0.250 0.075
O 0.133 0.250 0.807
O 0.211 0.531 0.375
O 0.211 0.969 0.375
O 0.260 0.562 0.695
O 0.260 0.938 0.695
O 0.276 0.560 0.979
O 0.276 0.940 0.979
O 0.282 0.750 0.184
O 0.431 0.250 0.617
O 0.442 0.750 0.582
O 0.456 0.250 0.887
O 0.471 0.250 0.171
O 0.529 0.750 0.829
O 0.544 0.750 0.113
O 0.558 0.250 0.418
O 0.569 0.750 0.383
O 0.718 0.250 0.816
O 0.724 0.060 0.021
O 0.724 0.440 0.021
O 0.740 0.062 0.305
O 0.740 0.438 0.305
O 0.789 0.031 0.625
O 0.789 0.469 0.625
O 0.867 0.750 0.193
O 0.894 0.750 0.925
O 0.929 0.750 0.464

Most intense lines, 10 to 90 degrees two-theta, low angle first:
Position (°2θ), d/Å, Rel. int.
21.38, 4.155, 575
22.60, 3.934, 220
25.40, 3.507, 744
26.47, 3.367, 914
27.41, 3.254, 1000
28.60, 3.121, 431
29.87, 2.991, 202
30.28, 2.952, 158
43.40, 2.085, 165
47.25, 1.924, 176

=====

Record 6
Structure and computed powder diffraction line list of Na2Fe3P3O12 (a cell relaxed with PBE+U; Cu Kα, 1.54184 Å).

Cell and atoms:
abc: 8.693 8.693 6.613
angles: 106.35 106.35 93.43
Element x y z (fractional)
Na 0.000 0.000 0.000
Na 0.000 0.000 0.500
Na 0.484 0.516 0.750
Na 0.516 0.484 0.250
Fe 0.119 0.444 0.375
Fe 0.230 0.770 0.250
Fe 0.444 0.119 0.875
Fe 0.556 0.881 0.125
Fe 0.770 0.230 0.750
Fe 0.881 0.556 0.625
P 0.158 0.375 0.883
P 0.209 0.791 0.750
P 0.375 0.158 0.383
P 0.625 0.842 0.617
P 0.791 0.209 0.250
P 0.842 0.625 0.117
O 0.028 0.229 0.833
O 0.031 0.764 0.745
O 0.105 0.456 0.695
O 0.177 0.504 0.112
O 0.229 0.028 0.333
O 0.236 0.969 0.755
O 0.238 0.678 0.538
O 0.322 0.762 0.962
O 0.328 0.330 0.394
O 0.330 0.328 0.894
O 0.456 0.105 0.195
O 0.496 0.823 0.388
O 0.504 0.177 0.612
O 0.544 0.895 0.805
O 0.670 0.672 0.106
O 0.672 0.670 0.606
O 0.678 0.238 0.038
O 0.762 0.322 0.462
O 0.764 0.031 0.245
O 0.771 0.972 0.667
O 0.823 0.496 0.888
O 0.895 0.544 0.305
O 0.969 0.236 0.255
O 0.972 0.771 0.167

Most intense lines, 10 to 90 degrees two-theta, low angle first:
Position (°2θ), d/Å, Rel. int.
13.99, 6.328, 757
25.57, 3.483, 272
28.17, 3.168, 477
30.61, 2.920, 351
32.75, 2.734, 1000
32.95, 2.718, 492
34.70, 2.585, 769
42.13, 2.145, 452
51.51, 1.774, 229
56.25, 1.635, 310

=====

Record 7
Structure and computed powder diffraction line list of VF5 (a cell relaxed with PBE+U; Cu Kα, 1.54184 Å).

Cell and atoms:
abc: 5.769 5.769 7.344
angles: 109.06 109.06 53.39
Element x y z (fractional)
V 0.005 0.995 0.500
V 0.995 0.005 0.000
F 0.131 0.869 0.248
F 0.195 0.628 0.529
F 0.329 0.992 0.619
F 0.364 0.820 0.976
F 0.628 0.195 0.029
F 0.687 0.991 0.374
F 0.820 0.364 0.476
F 0.869 0.131 0.748
F 0.991 0.687 0.874
F 0.992 0.329 0.119

Most intense lines, 10 to 90 degrees two-theta, low angle first:
Position (°2θ), d/Å, Rel. int.
18.49, 4.798, 574
19.46, 4.561, 1000
25.89, 3.441, 243
26.07, 3.418, 238
29.82, 2.996, 176
39.25, 2.295, 163
39.45, 2.284, 181
41.09, 2.197, 168
51.63, 1.770, 117
51.94, 1.761, 105

=====

Record 8
Structure and computed powder diffraction line list of BaNdCo4O12 (a cell relaxed with PBE+U; Cu Kα, 1.54184 Å).

Cell and atoms:
abc: 5.403 5.403 7.598
angles: 90.00 90.00 90.00
Element x y z (fractional)
Ba 0.000 0.000 0.000
Nd 0.500 0.500 0.500
Co 0.000 0.500 0.248
Co 0.000 0.500 0.752
Co 0.500 0.000 0.248
Co 0.500 0.000 0.752
O 0.000 0.500 0.000
O 0.000 0.500 0.500
O 0.260 0.260 0.263
O 0.260 0.260 0.737
O 0.260 0.740 0.263
O 0.260 0.740 0.737
O 0.500 0.000 0.000
O 0.500 0.000 0.500
O 0.740 0.260 0.263
O 0.740 0.260 0.737
O 0.740 0.740 0.263
O 0.740 0.740 0.737

Most intense lines, 10 to 90 degrees two-theta, low angle first:
Position (°2θ), d/Å, Rel. int.
20.17, 4.403, 851
33.23, 2.696, 1000
39.12, 2.303, 307
39.29, 2.293, 150
47.60, 1.910, 280
47.89, 1.900, 135
52.33, 1.748, 134
59.30, 1.558, 254
59.49, 1.554, 129
69.83, 1.347, 154